Diffraction record for CsTbMo2O8. The powder diffractogram is computed, not measured: it uses DFT lattice parameters and positions (GGA+U) and CuKα.

a = 7.628 Å, b = 7.628 Å, c = 7.841 Å
α = 117.90°, β = 117.90°, γ = 88.35°
Fractional coordinates of all 24 atoms:
Cs (0.193, 0.807, 0.750)
Cs (0.807, 0.193, 0.250)
Tb (0.228, 0.772, 0.250)
Tb (0.772, 0.228, 0.750)
Mo (0.307, 0.309, 0.269)
Mo (0.309, 0.307, 0.769)
Mo (0.691, 0.693, 0.231)
Mo (0.693, 0.691, 0.731)
O (0.056, 0.219, 0.708)
O (0.068, 0.376, 0.124)
O (0.219, 0.056, 0.208)
O (0.243, 0.387, 0.572)
O (0.371, 0.587, 0.036)
O (0.376, 0.068, 0.624)
O (0.387, 0.243, 0.072)
O (0.413, 0.629, 0.464)
O (0.587, 0.371, 0.536)
O (0.613, 0.757, 0.928)
O (0.624, 0.932, 0.376)
O (0.629, 0.413, 0.964)
O (0.757, 0.613, 0.428)
O (0.781, 0.944, 0.792)
O (0.932, 0.624, 0.876)
O (0.944, 0.781, 0.292)

Most intense lines, 5° ≤ 2θ ≤ 70°, in order of rising 2θ:
| 2θ/deg | d_spacing | I_rel |
| --- | --- | --- |
| 27.3 | 3.265 | 100 |
| 28.4 | 3.148 | 60 |
| 30.1 | 2.971 | 31 |
| 32.8 | 2.730 | 12 |
| 33.5 | 2.675 | 10 |
| 45.8 | 1.981 | 12 |
| 50.5 | 1.806 | 11 |
| 53.0 | 1.728 | 13 |